Pr5Sm8Ho: theoretical X-ray powder pattern (λ = 1.5418 Å (Cu Kα)), based on a cell relaxed with PBE.
Peak positions follow from Bragg's law for the DFT cell and can differ from measured ones.

The 10 most intense peaks (2θ from 10° to 90°), by angle:
2theta, I_rel
29.82, 25
30.47, 57
30.55, 15
31.14, 23
31.40, 100
31.51, 21
31.72, 29
34.24, 31
34.78, 17
48.64, 16

Cell and atoms:
Cell: 8.7396 8.7396 9.0779 Å, 121.05 121.05 84.39°
Element x y z (fractional)
Pr: 0.0000 0.0000 0.0000
Pr: 0.0311 0.0311 0.4805
Pr: 0.3190 0.3190 0.0153
Pr: 0.3837 0.3837 0.4690
Pr: 0.6494 0.6494 0.0136
Sm: 0.0141 0.5217 0.2468
Sm: 0.1789 0.5889 0.7415
Sm: 0.2644 0.7714 0.2439
Sm: 0.4550 0.8552 0.7430
Sm: 0.5217 0.0141 0.2468
Sm: 0.5889 0.1789 0.7415
Sm: 0.7714 0.2644 0.2439
Sm: 0.8552 0.4550 0.7430
Ho: 0.7129 0.7129 0.4664